Structure and computed X-ray powder pattern of Sb2Cl7F3 (a crystal structure in Alexandria, relaxed with GGA-PBE; Cu Ka).
Lines closer than 0.1° are merged.

Top 6 peaks for 2θ from 10° to 90°, low angle first:
two_theta	d_spacing	I/Imax
13.00	6.810	84
13.01	6.806	92
18.32	4.844	100
22.67	3.922	36
25.99	3.428	42
26.12	3.412	37

Cell and atoms:
```
Sb2Cl7F3
1.0
9.667 -3.922 0.000
9.667 3.922 0.000
-9.646 0.000 9.718
Sb Cl F
4 14 6
Direct
0.045 0.045 0.257
0.172 0.254 0.166
0.746 0.828 0.834
0.955 0.955 0.743
0.096 0.023 0.714
0.227 0.162 0.484
0.244 0.688 0.812
0.272 0.309 0.093
0.312 0.756 0.188
0.329 0.367 0.402
0.468 0.140 0.847
0.633 0.671 0.598
0.657 0.253 0.737
0.691 0.728 0.907
0.747 0.343 0.263
0.838 0.773 0.516
0.860 0.532 0.153
0.977 0.904 0.286
0.011 0.618 0.854
0.032 0.122 0.960
0.073 0.167 0.196
0.382 0.989 0.146
0.833 0.927 0.804
0.878 0.968 0.040
```

Structure and computed X-ray powder pattern of Sb4Cl13F7 (a crystal structure in Alexandria, relaxed with GGA-PBE; Cu Ka).
Lines closer than 0.1° are merged.

Top 6 peaks for 2θ from 10° to 90°, low angle first:
two_theta	d_spacing	I/Imax
13.13	6.740	48
13.31	6.650	100
13.50	6.561	62
18.21	4.873	46
18.35	4.834	83
23.41	3.799	47

Cell and atoms:
```
Sb4Cl13F7
1.0
7.603 0.000 0.000
3.590 9.680 0.000
3.574 -0.010 9.748
Sb Cl F
4 13 7
Direct
0.000 0.000 0.000
0.091 0.482 0.333
0.293 0.574 0.911
0.847 0.908 0.421
0.013 0.453 0.569
0.136 0.035 0.767
0.265 0.255 0.264
0.401 0.646 0.685
0.463 0.338 0.884
0.516 0.627 0.985
0.548 0.901 0.415
0.704 0.981 0.999
0.753 0.145 0.450
0.786 0.497 0.318
0.814 0.839 0.646
0.875 0.227 0.075
0.997 0.562 0.902
0.109 0.785 0.971
0.123 0.882 0.373
0.154 0.546 0.128
0.243 0.965 0.035
0.322 0.525 0.316
0.912 0.933 0.206
0.959 0.699 0.359
```

Structure and computed X-ray powder pattern of SbClF3 (a crystal structure in Alexandria, relaxed with GGA-PBE; Cu Ka).
Lines closer than 0.1° are merged.

Top 6 peaks for 2θ from 10° to 90°, low angle first:
two_theta	d_spacing	I/Imax
15.56	5.696	100
21.53	4.128	96
24.11	3.691	72
26.17	3.406	40
29.01	3.078	30
41.80	2.161	32

Cell and atoms:
```
SbClF3
1.0
5.343 0.000 0.000
0.000 6.811 0.000
-1.394 0.000 5.696
Sb Cl F
2 2 6
Direct
0.000 0.000 0.000
0.466 0.500 0.084
0.252 0.000 0.377
0.698 0.500 0.477
0.154 0.500 0.197
0.225 0.203 0.911
0.225 0.797 0.911
0.766 0.201 0.063
0.766 0.799 0.063
0.813 0.000 0.683
```

Structure and computed X-ray powder pattern of SbTeCl3F6 (a crystal structure in Alexandria, relaxed with GGA-PBE; Cu Ka).
Lines closer than 0.1° are merged.

Top 6 peaks for 2θ from 10° to 90°, low angle first:
two_theta	d_spacing	I/Imax
16.72	5.303	100
19.75	4.496	67
20.81	4.268	71
22.63	3.929	86
26.81	3.325	80
42.34	2.135	46

Cell and atoms:
```
SbTeCl3F6
1.0
17.964 0.000 0.000
0.000 8.536 0.000
0.000 0.000 6.570
Sb Te Cl F
4 4 12 24
Direct
0.073 0.250 0.164
0.427 0.750 0.664
0.573 0.250 0.336
0.927 0.750 0.836
0.104 0.750 0.375
0.396 0.250 0.875
0.604 0.750 0.125
0.896 0.250 0.625
0.141 0.556 0.601
0.141 0.944 0.601
0.210 0.750 0.176
0.290 0.250 0.676
0.359 0.056 0.101
0.359 0.444 0.101
0.641 0.556 0.899
0.641 0.944 0.899
0.710 0.750 0.324
0.790 0.250 0.824
0.859 0.056 0.399
0.859 0.444 0.399
0.023 0.750 0.958
0.024 0.250 0.429
0.072 0.023 0.173
0.072 0.477 0.173
0.118 0.250 0.902
0.168 0.250 0.295
0.332 0.750 0.795
0.382 0.750 0.402
0.428 0.523 0.673
0.428 0.977 0.673
0.476 0.750 0.929
0.477 0.250 0.458
0.523 0.750 0.542
0.524 0.250 0.071
0.572 0.023 0.327
0.572 0.477 0.327
0.618 0.250 0.598
0.668 0.250 0.205
0.832 0.750 0.705
0.882 0.750 0.098
0.928 0.523 0.827
0.928 0.977 0.827
0.976 0.750 0.571
0.977 0.250 0.042
```